Diffraction record for CuH10Se2N2O10. The X-ray powder pattern is simulated, not measured: it uses the GGA-PBE geometry in Alexandria and CuKα.
Intensities are scaled so that the largest is 100.

abc: 5.201 7.553 7.981
angles: 99.97 106.28 93.83
Space group P-1 (No. 2)
Symmetry-distinct sites (fractional):
Cu 0.000 0.000 0.000
H 0.048 0.286 0.574
H 0.196 0.736 0.004
H 0.276 0.184 0.712
H 0.299 0.416 0.742
H 0.376 0.293 0.568
Se 0.435 0.799 0.753
N 0.250 0.295 0.649
O 0.112 0.806 0.091
O 0.219 0.159 0.210
O 0.312 0.990 0.810
O 0.329 0.713 0.535
O 0.372 0.648 0.870

Largest 10 diffraction maxima, by intensity, 2θ from 10° to 90°:
| 2θ (°) | intensity | hkl |
| --- | --- | --- |
| 15.1 | 100 | 0 1 -1 |
| 12.0 | 50 | 0 1 0 |
| 22.0 | 29 | -1 1 1 |
| 25.2 | 28 | 1 0 -2 |
| 29.2 | 22 | 1 1 1 |
| 11.8 | 21 | 0 0 1 |
| 24.7 | 18 | 0 2 -1 |
| 24.3 | 18 | 1 0 1 |
| 34.6 | 16 | 2 0 -1 |
| 37.4 | 13 | 2 1 -1 |

Diffraction record for Na2Cu3H5. The X-ray powder pattern is simulated, not measured: it uses the GGA-PBE geometry in Alexandria and CuKα.
Intensities are scaled so that the largest is 100.

abc: 4.904 5.907 7.806
angles: 98.78 96.02 91.46
Space group P-1 (No. 2)
Symmetry-distinct sites (fractional):
Na 0.219 0.114 0.175
Na 0.265 0.551 0.575
Cu 0.091 0.396 0.860
Cu 0.261 0.050 0.562
Cu 0.411 0.619 0.129
H 0.001 0.844 0.562
H 0.194 0.565 0.265
H 0.312 0.185 0.786
H 0.351 0.610 0.901
H 0.486 0.154 0.436

Largest 10 diffraction maxima, by intensity, 2θ from 10° to 90°:
| 2θ (°) | intensity | hkl |
| --- | --- | --- |
| 17.6 | 100 | 0 1 -1 |
| 35.7 | 37 | 0 2 -2 |
| 40.7 | 34 | 2 1 0 |
| 41.7 | 26 | 2 0 -2 |
| 35.1 | 25 | 0 0 3 |
| 40.0 | 17 | 2 0 1 |
| 34.6 | 17 | 0 2 1 |
| 47.6 | 16 | 2 -2 0 |
| 29.8 | 12 | 0 1 2 |
| 15.2 | 11 | 0 1 0 |

Diffraction record for Na2CuH4O4. The X-ray powder pattern is simulated, not measured: it uses the GGA-PBE geometry in Alexandria and CuKα.
Intensities are scaled so that the largest is 100.

abc: 6.785 6.755 9.093
angles: 90.00 90.00 90.00
Space group Pna2_1 (No. 33)
Symmetry-distinct sites (fractional):
Na 0.001 0.203 0.000
Na 0.242 0.506 0.249
Cu 0.231 0.506 0.749
H 0.003 0.757 0.843
H 0.017 0.788 0.151
H 0.090 0.541 0.991
H 0.231 0.337 0.511
O 0.034 0.717 0.742
O 0.056 0.811 0.253
O 0.205 0.479 0.528
O 0.232 0.521 0.971

Largest 10 diffraction maxima, by intensity, 2θ from 10° to 90°:
| 2θ (°) | intensity | hkl |
| --- | --- | --- |
| 37.6 | 100 | 2 2 0 |
| 21.0 | 96 | 1 1 1 |
| 39.6 | 48 | 0 0 4 |
| 55.8 | 48 | 2 2 4 |
| 19.5 | 47 | 0 0 2 |
| 33.0 | 33 | 2 0 2 |
| 26.4 | 27 | 0 2 0 |
| 42.7 | 24 | 2 2 2 |
| 26.3 | 22 | 2 0 0 |
| 31.1 | 17 | 2 1 1 |

Diffraction record for NaCu2H3O10. The X-ray powder pattern is simulated, not measured: it uses the GGA-PBE geometry in Alexandria and CuKα.
Intensities are scaled so that the largest is 100.

abc: 11.026 5.966 6.730
angles: 90.00 115.55 90.00
Space group C2/m (No. 12)
Symmetry-distinct sites (fractional):
Na 0.000 0.000 0.000
Cu 0.250 0.250 0.500
H 0.000 0.500 0.500
H 0.011 0.500 0.249
O 0.073 0.500 0.405
O 0.156 0.000 0.496
O 0.206 0.192 0.179
O 0.230 0.500 0.840

Largest 10 diffraction maxima, by intensity, 2θ from 10° to 90°:
| 2θ (°) | intensity | hkl |
| --- | --- | --- |
| 17.8 | 100 | 2 0 0 |
| 14.6 | 70 | 0 0 1 |
| 17.5 | 64 | 2 0 -1 |
| 44.8 | 44 | 4 2 -1 |
| 35.1 | 32 | 2 2 0 |
| 40.2 | 25 | 2 0 -3 |
| 20.1 | 24 | 1 1 -1 |
| 29.4 | 17 | 0 0 2 |
| 34.9 | 17 | 2 2 -1 |
| 36.1 | 16 | 4 0 0 |

Diffraction record for Na5CuH2O4. The X-ray powder pattern is simulated, not measured: it uses the GGA-PBE geometry in Alexandria and CuKα.
Intensities are scaled so that the largest is 100.

abc: 6.093 8.894 12.065
angles: 90.00 90.00 90.00
Space group Pnma (No. 62)
Symmetry-distinct sites (fractional):
Na 0.056 0.250 0.042
Na 0.069 0.750 0.206
Na 0.083 0.750 0.727
Na 0.247 0.005 0.360
Cu 0.005 0.250 0.525
H 0.241 0.003 0.122
O 0.134 0.046 0.173
O 0.197 0.250 0.411
O 0.228 0.750 0.379

Largest 10 diffraction maxima, by intensity, 2θ from 10° to 90°:
| 2θ (°) | intensity | hkl |
| --- | --- | --- |
| 20.0 | 100 | 0 2 0 |
| 35.7 | 98 | 2 2 0 |
| 40.6 | 98 | 0 4 0 |
| 36.0 | 84 | 0 2 4 |
| 25.9 | 79 | 1 2 1 |
| 24.9 | 76 | 0 2 2 |
| 42.2 | 72 | 2 0 4 |
| 34.7 | 71 | 1 1 4 |
| 26.6 | 59 | 1 0 3 |
| 16.3 | 51 | 1 0 1 |

Diffraction record for Na4CuP6H8O22. The X-ray powder pattern is simulated, not measured: it uses the GGA-PBE geometry in Alexandria and CuKα.
Intensities are scaled so that the largest is 100.

abc: 7.172 7.996 8.450
angles: 86.46 79.16 81.70
Space group P-1 (No. 2)
Symmetry-distinct sites (fractional):
Na 0.110 0.329 0.085
Na 0.344 0.422 0.701
Cu 0.000 0.000 0.500
P 0.217 0.017 0.794
P 0.338 0.716 0.987
P 0.446 0.215 0.334
H 0.044 0.590 0.343
H 0.062 0.395 0.383
H 0.243 0.786 0.308
H 0.262 0.752 0.492
O 0.007 0.513 0.676
O 0.075 0.943 0.714
O 0.165 0.790 0.421
O 0.186 0.199 0.831
O 0.222 0.590 0.943
O 0.232 0.907 0.960
O 0.240 0.198 0.394
O 0.393 0.707 0.150
O 0.432 0.973 0.688
O 0.457 0.677 0.575
O 0.463 0.284 0.146

Largest 10 diffraction maxima, by intensity, 2θ from 10° to 90°:
| 2θ (°) | intensity | hkl |
| --- | --- | --- |
| 15.2 | 100 | 0 1 1 |
| 24.4 | 97 | 1 2 0 |
| 27.9 | 78 | 1 2 -1 |
| 11.2 | 70 | 0 1 0 |
| 26.6 | 69 | 2 1 1 |
| 18.0 | 60 | 1 0 -1 |
| 34.0 | 58 | 0 1 3 |
| 31.8 | 48 | 0 2 -2 |
| 27.4 | 46 | 1 -2 0 |
| 29.8 | 45 | 2 -1 1 |

Diffraction record for NaCu2H3S2O10. The X-ray powder pattern is simulated, not measured: it uses the GGA-PBE geometry in Alexandria and CuKα.
Intensities are scaled so that the largest is 100.

abc: 9.019 6.267 7.703
angles: 90.00 120.95 90.00
Space group Cm (No. 8)
Symmetry-distinct sites (fractional):
Na 0.000 0.000 0.000
Cu 0.248 0.247 0.501
H 0.211 0.000 0.720
H 0.284 0.500 0.274
H 0.482 0.500 0.490
S 0.090 0.500 0.807
S 0.409 0.000 0.193
O 0.022 0.303 0.248
O 0.155 0.000 0.569
O 0.188 0.500 0.700
O 0.212 0.500 0.026
O 0.287 0.000 0.975
O 0.313 0.000 0.302
O 0.340 0.500 0.425
O 0.477 0.197 0.751

Largest 10 diffraction maxima, by intensity, 2θ from 10° to 90°:
| 2θ (°) | intensity | hkl |
| --- | --- | --- |
| 24.9 | 100 | 2 0 -2 |
| 13.4 | 89 | 0 0 1 |
| 34.9 | 89 | 2 2 -1 |
| 31.6 | 74 | 0 2 1 |
| 32.3 | 62 | 2 0 1 |
| 27.3 | 55 | 1 1 -2 |
| 38.2 | 47 | 2 2 -2 |
| 52.9 | 35 | 4 2 -3 |
| 51.0 | 34 | 4 0 -4 |
| 18.2 | 33 | 1 1 0 |